ZnFe4O8: computed PXRD pattern (Cu Kα (λ = 1.5418 Å)), based on a structure optimized by DFT (PBE+U).
Neutral-atom scattering factors, no anomalous dispersion.

Most intense lines, 10° ≤ 2θ ≤ 90°, low angle first:
Position (°2θ), d_spacing, I (rel.)
12.5, 7.096, 71
12.7, 6.983, 46
16.3, 5.452, 100
30.1, 2.969, 47
30.4, 2.945, 45
32.9, 2.726, 80
35.5, 2.527, 67
35.7, 2.517, 47
50.8, 1.796, 46
56.1, 1.639, 42

Structure:
Cell: 14.1650 2.9910 9.2172 Å, 90.00 129.66 90.00°
Space group Cm (No. 8)
Symmetry-distinct sites (fractional):
1 Zn 0.0000 0.0000 0.0000
2 Fe 0.0064 0.5000 0.3540
3 Fe 0.0152 0.0000 0.7002
4 Fe 0.2947 0.0000 0.6228
5 Fe 0.2961 0.5000 0.9844
6 O 0.0001 0.5000 0.8411
7 O 0.0297 0.5000 0.5841
8 O 0.1179 0.0000 0.4341
9 O 0.1899 0.0000 0.9110
10 O 0.3057 0.5000 0.7786
11 O 0.3393 0.5000 0.5337
12 O 0.3921 0.5000 0.2568
13 O 0.4604 0.0000 0.1051